Starting from DFT lattice parameters and positions (PBE), the powder diffraction line list of La2GaGePb was computed for λ = 1.5418 Å (Cu Kα).
Peak positions follow from Bragg's law for the DFT cell and can differ from measured ones.

The 8 most intense peaks (2θ from 10° to 90°), sorted by position:
2θ = 25.3°, I = 45.9; 2θ = 28.0°, I = 44.1; 2θ = 28.7°, I = 100.0; 2θ = 32.7°, I = 39.3; 2θ = 34.5°, I = 24.9; 2θ = 35.6°, I = 43.9; 2θ = 38.6°, I = 25.3; 2θ = 40.3°, I = 35.8

```
data_La2GaGePb
_cell_length_a 7.273
_cell_length_b 4.478
_cell_length_c 9.371
_cell_angle_alpha 90.00
_cell_angle_beta 104.15
_cell_angle_gamma 90.00
_space_group_name_H-M_alt 'P 1 21/m 1'
_space_group_IT_number 11
_space_group_name_Hall '-P 2yb'
loop_
_atom_site_label
_atom_site_fract_x
_atom_site_fract_y
_atom_site_fract_z
_atom_site_occupancy
La1 0.218 0.250 0.413 1
La2 0.258 0.250 0.988 1
Ga1 0.474 0.750 0.273 1
Ge1 0.135 0.750 0.175 1
Pb1 0.286 0.750 0.705 1
```


Starting from DFT lattice parameters and positions (PBE), the powder diffraction line list of FeCuMoHSe was computed for λ = 1.5418 Å (Cu Kα).
Peak positions follow from Bragg's law for the DFT cell and can differ from measured ones.

The 8 most intense peaks (2θ from 10° to 90°), sorted by position:
2θ = 13.2°, I = 41.1; 2θ = 34.2°, I = 25.3; 2θ = 35.8°, I = 21.5; 2θ = 40.8°, I = 100.0; 2θ = 43.8°, I = 77.1; 2θ = 45.1°, I = 71.7; 2θ = 75.5°, I = 29.0; 2θ = 78.3°, I = 26.1

```
data_FeCuMoHSe
_cell_length_a 3.029
_cell_length_b 3.231
_cell_length_c 13.449
_cell_angle_alpha 90.00
_cell_angle_beta 90.00
_cell_angle_gamma 90.00
_space_group_name_H-M_alt 'I m m 2'
_space_group_IT_number 44
_space_group_name_Hall 'I 2 -2'
loop_
_atom_site_label
_atom_site_fract_x
_atom_site_fract_y
_atom_site_fract_z
_atom_site_occupancy
Fe1 0.000 0.000 0.000 1
Cu1 0.000 0.000 0.402 1
Mo1 0.000 0.000 0.613 1
H1 0.000 0.500 0.420 1
Se1 0.000 0.000 0.218 1
```


Starting from DFT lattice parameters and positions (PBE), the powder diffraction line list of Hf3Ti6In was computed for λ = 1.5418 Å (Cu Kα).
Peak positions follow from Bragg's law for the DFT cell and can differ from measured ones.

The 8 most intense peaks (2θ from 10° to 90°), sorted by position:
2θ = 24.6°, I = 44.5; 2θ = 31.3°, I = 100.0; 2θ = 36.8°, I = 43.7; 2θ = 38.5°, I = 51.8; 2θ = 40.2°, I = 29.9; 2θ = 41.7°, I = 23.6; 2θ = 43.3°, I = 23.7; 2θ = 61.7°, I = 24.5

```
data_Hf3Ti6In
_cell_length_a 11.4459
_cell_length_b 11.4459
_cell_length_c 5.3028
_cell_angle_alpha 90.00
_cell_angle_beta 90.00
_cell_angle_gamma 120.00
_space_group_name_H-M_alt 'R 3 m'
_space_group_IT_number 160
_space_group_name_Hall 'R 3 -2"'
loop_
_atom_site_label
_atom_site_fract_x
_atom_site_fract_y
_atom_site_fract_z
_atom_site_occupancy
Hf1 0.0077 0.5038 0.0000 1
Ti1 0.0771 0.1541 0.8292 1
Ti2 0.2020 0.4040 0.8287 1
In1 0.0000 0.0000 0.3500 1
```


Starting from DFT lattice parameters and positions (PBE), the powder diffraction line list of TiSCl6O was computed for λ = 1.5418 Å (Cu Kα).
Peak positions follow from Bragg's law for the DFT cell and can differ from measured ones.

The 8 most intense peaks (2θ from 10° to 90°), sorted by position:
2θ = 10.7°, I = 61.3; 2θ = 14.2°, I = 100.0; 2θ = 15.5°, I = 61.9; 2θ = 22.1°, I = 47.8; 2θ = 22.6°, I = 33.2; 2θ = 27.0°, I = 35.3; 2θ = 28.6°, I = 81.2; 2θ = 32.0°, I = 36.0

```
data_TiSCl6O
_cell_length_a 8.046
_cell_length_b 10.952
_cell_length_c 13.137
_cell_angle_alpha 90.00
_cell_angle_beta 105.74
_cell_angle_gamma 90.00
_space_group_name_H-M_alt 'P 1 21/c 1'
_space_group_IT_number 14
_space_group_name_Hall '-P 2ybc'
loop_
_atom_site_label
_atom_site_fract_x
_atom_site_fract_y
_atom_site_fract_z
_atom_site_occupancy
Ti1 0.143 0.140 0.049 1
S1 0.396 0.576 0.750 1
Cl1 0.021 0.724 0.055 1
Cl2 0.099 0.524 0.415 1
Cl3 0.178 0.234 0.204 1
Cl4 0.244 0.567 0.854 1
Cl5 0.396 0.183 0.018 1
Cl6 0.411 0.547 0.176 1
O1 0.299 0.522 0.650 1
```


Starting from DFT lattice parameters and positions (PBE), the powder diffraction line list of As2AuS4 was computed for λ = 1.5418 Å (Cu Kα).
Peak positions follow from Bragg's law for the DFT cell and can differ from measured ones.

The 8 most intense peaks (2θ from 10° to 90°), sorted by position:
2θ = 18.2°, I = 100.0; 2θ = 25.6°, I = 34.5; 2θ = 31.6°, I = 55.0; 2θ = 31.9°, I = 69.9; 2θ = 36.6°, I = 38.0; 2θ = 49.1°, I = 17.5; 2θ = 49.3°, I = 57.4; 2θ = 86.5°, I = 15.8

```
data_As2AuS4
_cell_length_a 6.947
_cell_length_b 6.947
_cell_length_c 6.841
_cell_angle_alpha 90.00
_cell_angle_beta 90.00
_cell_angle_gamma 90.00
_space_group_name_H-M_alt 'I 4/m'
_space_group_IT_number 87
_space_group_name_Hall '-I 4'
loop_
_atom_site_label
_atom_site_fract_x
_atom_site_fract_y
_atom_site_fract_z
_atom_site_occupancy
As1 0.000 0.500 0.250 1
Au1 0.000 0.000 0.000 1
S1 0.181 0.302 0.000 1
```


Starting from DFT lattice parameters and positions (PBE), the powder diffraction line list of LaSmTmTh2 was computed for λ = 1.5418 Å (Cu Kα).
Peak positions follow from Bragg's law for the DFT cell and can differ from measured ones.

The 8 most intense peaks (2θ from 10° to 90°), sorted by position:
2θ = 11.3°, I = 19.0; 2θ = 28.8°, I = 100.0; 2θ = 34.2°, I = 39.7; 2θ = 35.1°, I = 41.0; 2θ = 37.8°, I = 42.8; 2θ = 51.9°, I = 31.6; 2θ = 62.8°, I = 22.8; 2θ = 65.5°, I = 17.3

```
data_LaSmTmTh2
_cell_length_a 6.730
_cell_length_b 15.722
_cell_length_c 6.738
_cell_angle_alpha 90.00
_cell_angle_beta 90.00
_cell_angle_gamma 90.00
_space_group_name_H-M_alt 'C m c m'
_space_group_IT_number 63
_space_group_name_Hall '-C 2c 2'
loop_
_atom_site_label
_atom_site_fract_x
_atom_site_fract_y
_atom_site_fract_z
_atom_site_occupancy
La1 0.000 0.248 0.250 1
Sm1 0.000 0.349 0.750 1
Tm1 0.000 0.150 0.750 1
Th1 0.248 0.000 0.000 1
```


Starting from DFT lattice parameters and positions (PBE), the powder diffraction line list of Mg3Zn5Rh2 was computed for λ = 1.5418 Å (Cu Kα).
Peak positions follow from Bragg's law for the DFT cell and can differ from measured ones.

The 8 most intense peaks (2θ from 10° to 90°), sorted by position:
2θ = 19.3°, I = 100.0; 2θ = 36.5°, I = 40.5; 2θ = 39.6°, I = 61.7; 2θ = 40.1°, I = 57.5; 2θ = 41.3°, I = 29.8; 2θ = 43.7°, I = 39.2; 2θ = 43.9°, I = 78.3; 2θ = 45.3°, I = 53.9

```
data_Mg3Zn5Rh2
_cell_length_a 6.606
_cell_length_b 18.392
_cell_length_c 5.282
_cell_angle_alpha 90.00
_cell_angle_beta 90.00
_cell_angle_gamma 90.00
_space_group_name_H-M_alt 'I b a m'
_space_group_IT_number 72
_space_group_name_Hall '-I 2 2c'
loop_
_atom_site_label
_atom_site_fract_x
_atom_site_fract_y
_atom_site_fract_z
_atom_site_occupancy
Mg1 0.000 0.000 0.250 1
Mg2 0.139 0.274 0.000 1
Zn1 0.000 0.151 0.250 1
Zn2 0.000 0.500 0.250 1
Zn3 0.213 0.412 0.000 1
Rh1 0.170 0.380 0.500 1
```


Starting from DFT lattice parameters and positions (PBE), the powder diffraction line list of Tb2BeAu was computed for λ = 1.5418 Å (Cu Kα).
Peak positions follow from Bragg's law for the DFT cell and can differ from measured ones.

The 8 most intense peaks (2θ from 10° to 90°), sorted by position:
2θ = 12.8°, I = 28.6; 2θ = 28.3°, I = 34.4; 2θ = 35.8°, I = 52.6; 2θ = 36.2°, I = 100.0; 2θ = 51.5°, I = 18.7; 2θ = 64.6°, I = 37.4; 2θ = 65.5°, I = 17.0; 2θ = 76.9°, I = 10.8

```
data_Tb2BeAu
_cell_length_a 3.546
_cell_length_b 3.546
_cell_length_c 6.932
_cell_angle_alpha 90.00
_cell_angle_beta 90.00
_cell_angle_gamma 90.00
_space_group_name_H-M_alt 'P 4/m m m'
_space_group_IT_number 123
_space_group_name_Hall '-P 4 2'
loop_
_atom_site_label
_atom_site_fract_x
_atom_site_fract_y
_atom_site_fract_z
_atom_site_occupancy
Tb1 0.000 0.000 0.236 1
Be1 0.500 0.500 0.000 1
Au1 0.500 0.500 0.500 1
```


Starting from DFT lattice parameters and positions (PBE), the powder diffraction line list of Ce2Zn2Ru was computed for λ = 1.5418 Å (Cu Kα).
Peak positions follow from Bragg's law for the DFT cell and can differ from measured ones.

The 8 most intense peaks (2θ from 10° to 90°), sorted by position:
2θ = 26.6°, I = 31.4; 2θ = 33.0°, I = 100.0; 2θ = 34.5°, I = 48.6; 2θ = 34.8°, I = 69.3; 2θ = 37.5°, I = 57.6; 2θ = 44.1°, I = 67.9; 2θ = 52.0°, I = 43.6; 2θ = 67.3°, I = 34.4

```
data_Ce2Zn2Ru
_cell_length_a 4.690
_cell_length_b 4.800
_cell_length_c 9.269
_cell_angle_alpha 90.00
_cell_angle_beta 90.00
_cell_angle_gamma 90.00
_space_group_name_H-M_alt 'I m m m'
_space_group_IT_number 71
_space_group_name_Hall '-I 2 2'
loop_
_atom_site_label
_atom_site_fract_x
_atom_site_fract_y
_atom_site_fract_z
_atom_site_occupancy
Ce1 0.000 0.000 0.183 1
Zn1 0.249 0.500 0.000 1
Ru1 0.000 0.500 0.500 1
```


Starting from DFT lattice parameters and positions (PBE), the powder diffraction line list of LiAsCl4 was computed for λ = 1.5418 Å (Cu Kα).
Peak positions follow from Bragg's law for the DFT cell and can differ from measured ones.

The 8 most intense peaks (2θ from 10° to 90°), sorted by position:
2θ = 13.6°, I = 63.8; 2θ = 16.0°, I = 79.0; 2θ = 16.7°, I = 37.5; 2θ = 21.1°, I = 43.2; 2θ = 25.6°, I = 100.0; 2θ = 31.9°, I = 29.8; 2θ = 39.3°, I = 30.1; 2θ = 44.0°, I = 46.7

```
data_LiAsCl4
_cell_length_a 6.487
_cell_length_b 6.494
_cell_length_c 10.645
_cell_angle_alpha 90.00
_cell_angle_beta 90.00
_cell_angle_gamma 90.00
_space_group_name_H-M_alt 'P 2 2 2'
_space_group_IT_number 16
_space_group_name_Hall 'P 2 2'
loop_
_atom_site_label
_atom_site_fract_x
_atom_site_fract_y
_atom_site_fract_z
_atom_site_occupancy
Li1 0.000 0.000 0.000 1
Li2 0.500 0.000 0.500 1
As1 0.000 0.000 0.500 1
As2 0.000 0.500 0.000 1
Cl1 0.200 0.253 0.114 1
Cl2 0.248 0.197 0.616 1
```


Starting from DFT lattice parameters and positions (PBE), the powder diffraction line list of Ir3W5 was computed for λ = 1.5418 Å (Cu Kα).
Peak positions follow from Bragg's law for the DFT cell and can differ from measured ones.

The 8 most intense peaks (2θ from 10° to 90°), sorted by position:
2θ = 35.7°, I = 35.7; 2θ = 39.3°, I = 47.7; 2θ = 40.1°, I = 36.7; 2θ = 40.8°, I = 100.0; 2θ = 41.1°, I = 61.3; 2θ = 41.5°, I = 65.2; 2θ = 41.9°, I = 36.2; 2θ = 42.8°, I = 35.3

```
data_Ir3W5
_cell_length_a 5.010
_cell_length_b 13.933
_cell_length_c 7.589
_cell_angle_alpha 90.00
_cell_angle_beta 106.43
_cell_angle_gamma 90.00
_space_group_name_H-M_alt 'C 1 2/m 1'
_space_group_IT_number 12
_space_group_name_Hall '-C 2y'
loop_
_atom_site_label
_atom_site_fract_x
_atom_site_fract_y
_atom_site_fract_z
_atom_site_occupancy
Ir1 0.000 0.177 0.000 1
Ir2 0.000 0.263 0.500 1
Ir3 0.116 0.500 0.356 1
W1 0.093 0.329 0.206 1
W2 0.122 0.099 0.339 1
W3 0.250 0.000 0.997 1
```


Starting from DFT lattice parameters and positions (PBE), the powder diffraction line list of Ho3Tl3SnS8 was computed for λ = 1.5418 Å (Cu Kα).
Peak positions follow from Bragg's law for the DFT cell and can differ from measured ones.

The 8 most intense peaks (2θ from 10° to 90°), sorted by position:
2θ = 23.3°, I = 32.7; 2θ = 27.2°, I = 56.1; 2θ = 30.4°, I = 100.0; 2θ = 41.1°, I = 39.1; 2θ = 45.9°, I = 32.9; 2θ = 47.7°, I = 17.6; 2θ = 52.1°, I = 23.4; 2θ = 56.1°, I = 17.4

```
data_Ho3Tl3SnS8
_cell_length_a 7.9035
_cell_length_b 7.9035
_cell_length_c 22.9324
_cell_angle_alpha 90.00
_cell_angle_beta 90.00
_cell_angle_gamma 120.00
_space_group_name_H-M_alt 'R -3 m'
_space_group_IT_number 166
_space_group_name_Hall '-R 3 2"'
loop_
_atom_site_label
_atom_site_fract_x
_atom_site_fract_y
_atom_site_fract_z
_atom_site_occupancy
Ho1 0.0000 0.5000 0.0000 1
Tl1 0.0000 0.5000 0.5000 1
Sn1 0.0000 0.0000 0.0000 1
S1 0.0000 0.0000 0.2683 1
S2 0.0147 0.5073 0.7304 1
```